No. 1
# SbAsPCl13
Theoretical PXRD pattern, a wavelength of 1.5418 Å. Input: the PBE geometry in the Materials Project.
Peak positions follow from Bragg's law for the DFT cell and can differ from measured ones.

Principal peaks in the range 5° ≤ 2θ ≤ 70°, by intensity:
d [Å], intensity
4.907, 100.0
7.185, 73.5
5.267, 55.7
5.025, 42.0
3.592, 37.9
2.993, 34.0
6.090, 30.3
2.879, 27.9

Structural model:
Unit cell a=9.8406 b=9.8406 c=12.1796 alpha=90.00 beta=90.00 gamma=115.29
Element x y z (fractional)
Sb1 0.2066 0.7934 0.5000
Sb2 0.7934 0.2066 0.0000
As1 0.4508 0.5492 0.6508
As2 0.5492 0.4508 0.1508
P1 0.1402 0.8598 0.9617
P2 0.8598 0.1402 0.4617
Cl1 0.0140 0.3099 0.8855
Cl2 0.0650 0.2381 0.4050
Cl3 0.0880 0.9120 0.6146
Cl4 0.1018 0.5726 0.6168
Cl5 0.1359 0.8641 0.1225
Cl6 0.2381 0.0650 0.9050
Cl7 0.2527 0.7473 0.9150
Cl8 0.3047 0.3756 0.1281
Cl9 0.3099 0.0140 0.3855
Cl10 0.3265 0.6735 0.3892
Cl11 0.3756 0.3047 0.6281
Cl12 0.4274 0.8982 0.6168
Cl13 0.4468 0.5532 0.8338
Cl14 0.5532 0.4468 0.3338
Cl15 0.5726 0.1018 0.1168
Cl16 0.6244 0.6953 0.1281
Cl17 0.6735 0.3265 0.8892
Cl18 0.6901 0.9860 0.8855
Cl19 0.6953 0.6244 0.6281
Cl20 0.7473 0.2527 0.4150
Cl21 0.7619 0.9350 0.4050
Cl22 0.8641 0.1359 0.6225
Cl23 0.8982 0.4274 0.1168
Cl24 0.9120 0.0880 0.1146
Cl25 0.9350 0.7619 0.9050
Cl26 0.9860 0.6901 0.3855


No. 2
# K2HfF6
Theoretical PXRD pattern, a wavelength of 1.5418 Å. Input: the PBE geometry in the Materials Project.
Peak positions follow from Bragg's law for the DFT cell and can differ from measured ones.

Principal peaks in the range 5° ≤ 2θ ≤ 70°, by intensity:
d [Å], intensity
5.776, 100.0
2.988, 55.0
5.836, 41.3
2.980, 31.8
3.323, 31.4
3.358, 30.1
4.473, 29.2
3.024, 28.3

Structural model:
Unit cell a=6.7159 b=6.7159 c=6.9657 alpha=90.06 beta=90.06 gamma=120.68
Element x y z (fractional)
K1 0.1412 0.8263 0.9975
K2 0.1737 0.8588 0.5025
K3 0.8263 0.1412 0.4975
K4 0.8588 0.1737 0.0025
Hf1 0.4520 0.5480 0.7500
Hf2 0.5480 0.4520 0.2500
F1 0.1202 0.5027 0.7282
F2 0.1998 0.2256 0.2783
F3 0.2256 0.1998 0.7783
F4 0.3738 0.5682 0.0444
F5 0.4318 0.6262 0.4556
F6 0.4973 0.8798 0.7718
F7 0.5027 0.1202 0.2282
F8 0.5682 0.3738 0.5444
F9 0.6262 0.4318 0.9556
F10 0.7744 0.8002 0.2217
F11 0.8002 0.7744 0.7217
F12 0.8798 0.4973 0.2718


No. 3
# Mg6AlW
Theoretical PXRD pattern, a wavelength of 1.5418 Å. Input: the PBE geometry in the Materials Project.
Peak positions follow from Bragg's law for the DFT cell and can differ from measured ones.

Principal peaks in the range 5° ≤ 2θ ≤ 70°, by intensity:
d [Å], intensity
2.284, 100.0
5.146, 96.7
3.572, 74.2
2.376, 64.3
5.414, 58.7
4.962, 44.4
2.481, 42.1
2.573, 40.1

Structural model:
Unit cell a=4.9618 b=6.1531 c=6.1531 alpha=56.76 beta=90.00 gamma=90.00
Element x y z (fractional)
Mg1 0.0000 0.0000 0.0000
Mg2 0.0000 0.0184 0.4961
Mg3 0.0000 0.4941 0.4941
Mg4 0.0000 0.4961 0.0184
Mg5 0.5000 0.3445 0.8424
Mg6 0.5000 0.8424 0.3445
Al1 0.5000 0.8413 0.8413
W1 0.5000 0.3449 0.3449


No. 4
# CrFe3N3
Theoretical PXRD pattern, a wavelength of 1.5418 Å. Input: the PBE geometry in the Materials Project.
Peak positions follow from Bragg's law for the DFT cell and can differ from measured ones.

Principal peaks in the range 5° ≤ 2θ ≤ 70°, by intensity:
d [Å], intensity
2.311, 100.0
2.905, 63.6
2.305, 49.0
1.672, 40.7
1.907, 34.8
2.892, 33.8
1.594, 26.6
1.680, 21.1

Structural model:
Unit cell a=6.6896 b=6.6896 c=3.8146 alpha=90.00 beta=90.00 gamma=119.71
Element x y z (fractional)
Cr1 0.1690 0.8310 0.7500
Cr2 0.8310 0.1690 0.2500
Fe1 0.1782 0.3387 0.7500
Fe2 0.3387 0.1782 0.2500
Fe3 0.3432 0.6568 0.2500
Fe4 0.6568 0.3432 0.7500
Fe5 0.6613 0.8218 0.7500
Fe6 0.8218 0.6613 0.2500
N1 0.1405 0.3224 0.2500
N2 0.3224 0.1405 0.7500
N3 0.3243 0.6757 0.7500
N4 0.6757 0.3243 0.2500
N5 0.6776 0.8595 0.2500
N6 0.8595 0.6776 0.7500


No. 5
# CsAlF4
Theoretical PXRD pattern, a wavelength of 1.5418 Å. Input: the PBE geometry in the Materials Project.
Peak positions follow from Bragg's law for the DFT cell and can differ from measured ones.

Principal peaks in the range 5° ≤ 2θ ≤ 70°, by intensity:
d [Å], intensity
2.797, 100.0
2.969, 86.0
2.313, 85.1
4.816, 74.5
3.153, 72.0
4.170, 66.5
2.419, 59.2
1.972, 45.4

Structural model:
Unit cell a=9.6311 b=9.6311 c=3.7710 alpha=90.00 beta=90.00 gamma=120.00
Element x y z (fractional)
Cs1 0.0000 0.5687 0.0000
Cs2 0.4313 0.4313 0.0000
Cs3 0.5687 0.0000 0.0000
Al1 0.0000 0.2164 0.5000
Al2 0.2164 0.0000 0.5000
Al3 0.7836 0.7836 0.5000
F1 0.0000 0.2079 0.0000
F2 0.0000 0.8456 0.5000
F3 0.1544 0.1544 0.5000
F4 0.1565 0.4197 0.5000
F5 0.2079 0.0000 0.0000
F6 0.2632 0.8435 0.5000
F7 0.4197 0.1565 0.5000
F8 0.5803 0.7368 0.5000
F9 0.7368 0.5803 0.5000
F10 0.7921 0.7921 0.0000
F11 0.8435 0.2632 0.5000
F12 0.8456 0.0000 0.5000


No. 6
# KGaCl4
Theoretical PXRD pattern, a wavelength of 1.5418 Å. Input: the PBE geometry in the Materials Project.
Peak positions follow from Bragg's law for the DFT cell and can differ from measured ones.

Principal peaks in the range 5° ≤ 2θ ≤ 70°, by intensity:
d [Å], intensity
3.853, 100.0
3.993, 100.0
3.683, 97.0
2.570, 89.6
5.688, 63.6
4.793, 62.4
2.748, 60.3
3.220, 59.8

Structural model:
Unit cell a=7.3908 b=10.6720 c=11.7692 alpha=90.00 beta=125.47 gamma=90.00
Element x y z (fractional)
K1 0.0146 0.1967 0.2012
K2 0.0146 0.3033 0.7012
K3 0.9854 0.6967 0.2988
K4 0.9854 0.8033 0.7988
Ga1 0.4276 0.0509 0.6839
Ga2 0.4276 0.4491 0.1839
Ga3 0.5724 0.5509 0.8161
Ga4 0.5724 0.9491 0.3161
Cl1 0.2093 0.5794 0.6736
Cl2 0.2093 0.9206 0.1736
Cl3 0.2649 0.2161 0.5487
Cl4 0.2649 0.2839 0.0487
Cl5 0.2879 0.0346 0.8064
Cl6 0.2879 0.4654 0.3064
Cl7 0.3726 0.6210 0.0656
Cl8 0.3726 0.8790 0.5656
Cl9 0.6274 0.1210 0.4344
Cl10 0.6274 0.3790 0.9344
Cl11 0.7121 0.5346 0.6936
Cl12 0.7121 0.9654 0.1936
Cl13 0.7351 0.7161 0.9513
Cl14 0.7351 0.7839 0.4513
Cl15 0.7907 0.0794 0.8264
Cl16 0.7907 0.4206 0.3264


No. 7
# LiHoO2
Theoretical PXRD pattern, a wavelength of 1.5418 Å. Input: the PBE geometry in the Materials Project.
Peak positions follow from Bragg's law for the DFT cell and can differ from measured ones.

Principal peaks in the range 5° ≤ 2θ ≤ 70°, by intensity:
d [Å], intensity
4.060, 100.0
4.088, 96.8
2.699, 68.3
2.200, 51.0
2.674, 49.5
2.799, 29.4
1.713, 27.1
1.920, 26.8

Structural model:
Unit cell a=6.2071 b=6.1579 c=6.2839 alpha=90.00 beta=119.54 gamma=90.00
Element x y z (fractional)
Li1 0.2091 0.1546 0.4366
Li2 0.2091 0.3454 0.9366
Li3 0.7909 0.6546 0.0634
Li4 0.7909 0.8454 0.5634
Ho1 0.2667 0.6303 0.5215
Ho2 0.2667 0.8697 0.0215
Ho3 0.7333 0.1303 0.9785
Ho4 0.7333 0.3697 0.4785
O1 0.0473 0.6092 0.7353
O2 0.0473 0.8908 0.2353
O3 0.4909 0.1706 0.1560
O4 0.4909 0.3294 0.6560
O5 0.5091 0.6706 0.3440
O6 0.5091 0.8294 0.8440
O7 0.9527 0.1092 0.7647
O8 0.9527 0.3908 0.2647


Copy entry 4 word for word.
# CrFe3N3
Theoretical PXRD pattern, a wavelength of 1.5418 Å. Input: the PBE geometry in the Materials Project.
Peak positions follow from Bragg's law for the DFT cell and can differ from measured ones.

Principal peaks in the range 5° ≤ 2θ ≤ 70°, by intensity:
d [Å], intensity
2.311, 100.0
2.905, 63.6
2.305, 49.0
1.672, 40.7
1.907, 34.8
2.892, 33.8
1.594, 26.6
1.680, 21.1

Structural model:
Unit cell a=6.6896 b=6.6896 c=3.8146 alpha=90.00 beta=90.00 gamma=119.71
Element x y z (fractional)
Cr1 0.1690 0.8310 0.7500
Cr2 0.8310 0.1690 0.2500
Fe1 0.1782 0.3387 0.7500
Fe2 0.3387 0.1782 0.2500
Fe3 0.3432 0.6568 0.2500
Fe4 0.6568 0.3432 0.7500
Fe5 0.6613 0.8218 0.7500
Fe6 0.8218 0.6613 0.2500
N1 0.1405 0.3224 0.2500
N2 0.3224 0.1405 0.7500
N3 0.3243 0.6757 0.7500
N4 0.6757 0.3243 0.2500
N5 0.6776 0.8595 0.2500
N6 0.8595 0.6776 0.7500


Please write out number 1 again, unchanged.
# SbAsPCl13
Theoretical PXRD pattern, a wavelength of 1.5418 Å. Input: the PBE geometry in the Materials Project.
Peak positions follow from Bragg's law for the DFT cell and can differ from measured ones.

Principal peaks in the range 5° ≤ 2θ ≤ 70°, by intensity:
d [Å], intensity
4.907, 100.0
7.185, 73.5
5.267, 55.7
5.025, 42.0
3.592, 37.9
2.993, 34.0
6.090, 30.3
2.879, 27.9

Structural model:
Unit cell a=9.8406 b=9.8406 c=12.1796 alpha=90.00 beta=90.00 gamma=115.29
Element x y z (fractional)
Sb1 0.2066 0.7934 0.5000
Sb2 0.7934 0.2066 0.0000
As1 0.4508 0.5492 0.6508
As2 0.5492 0.4508 0.1508
P1 0.1402 0.8598 0.9617
P2 0.8598 0.1402 0.4617
Cl1 0.0140 0.3099 0.8855
Cl2 0.0650 0.2381 0.4050
Cl3 0.0880 0.9120 0.6146
Cl4 0.1018 0.5726 0.6168
Cl5 0.1359 0.8641 0.1225
Cl6 0.2381 0.0650 0.9050
Cl7 0.2527 0.7473 0.9150
Cl8 0.3047 0.3756 0.1281
Cl9 0.3099 0.0140 0.3855
Cl10 0.3265 0.6735 0.3892
Cl11 0.3756 0.3047 0.6281
Cl12 0.4274 0.8982 0.6168
Cl13 0.4468 0.5532 0.8338
Cl14 0.5532 0.4468 0.3338
Cl15 0.5726 0.1018 0.1168
Cl16 0.6244 0.6953 0.1281
Cl17 0.6735 0.3265 0.8892
Cl18 0.6901 0.9860 0.8855
Cl19 0.6953 0.6244 0.6281
Cl20 0.7473 0.2527 0.4150
Cl21 0.7619 0.9350 0.4050
Cl22 0.8641 0.1359 0.6225
Cl23 0.8982 0.4274 0.1168
Cl24 0.9120 0.0880 0.1146
Cl25 0.9350 0.7619 0.9050
Cl26 0.9860 0.6901 0.3855